Record 1
Calculated X-ray diffraction stick pattern of La2AlNi9 for Cu Kα (λ = 1.5418 Å), from the GGA-PBE geometry in the Materials Project.
Peak positions follow from Bragg's law for the DFT cell and can differ from measured ones.

Structural model:
```
data_La2AlNi9
_chemical_formula_sum 'La4 Al2 Ni18'
_cell_length_a 5.048
_cell_length_b 8.599
_cell_length_c 8.035
_cell_angle_alpha 90.00
_cell_angle_beta 90.00
_cell_angle_gamma 90.00
_space_group_name_H-M_alt 'C m m m'
_space_group_IT_number 65
_space_group_name_Hall '-C 2 2'
loop_
_atom_site_label
_atom_site_type_symbol
_atom_site_fract_x
_atom_site_fract_y
_atom_site_fract_z
_atom_site_occupancy
La1 La 0.000 0.000 0.235 1
Al1 Al 0.000 0.500 0.500 1
Ni1 Ni 0.000 0.331 0.251 1
Ni2 Ni 0.000 0.500 0.000 1
Ni3 Ni 0.250 0.250 0.000 1
Ni4 Ni 0.250 0.250 0.500 1
```

Principal peaks in the range 5° ≤ 2θ ≤ 70°, by angle:
| d/Å | 2θ/deg | intensity |
| --- | --- | --- |
| 2.952 | 30.27 | 36 |
| 2.492 | 36.03 | 41 |
| 2.177 | 41.49 | 34 |
| 2.137 | 42.29 | 65 |
| 2.118 | 42.69 | 100 |
| 2.009 | 45.14 | 41 |

Record 2
Calculated X-ray diffraction stick pattern of La2Al7Ni for Cu Kα (λ = 1.5418 Å), from the GGA-PBE geometry in the Materials Project.
Peak positions follow from Bragg's law for the DFT cell and can differ from measured ones.

Structural model:
```
data_La2Al7Ni
_chemical_formula_sum 'La8 Al28 Ni4'
_cell_length_a 6.135
_cell_length_b 6.143
_cell_length_c 21.458
_cell_angle_alpha 90.00
_cell_angle_beta 90.00
_cell_angle_gamma 90.00
_space_group_name_H-M_alt 'I m m 2'
_space_group_IT_number 44
loop_
_space_group_symop_operation_xyz
'x,y,z'
'-x,-y,z'
'-x,y,z'
'x,-y,z'
'x+1/2,y+1/2,z+1/2'
'-x+1/2,-y+1/2,z+1/2'
'-x+1/2,y+1/2,z+1/2'
'x+1/2,-y+1/2,z+1/2'
loop_
_atom_site_label
_atom_site_type_symbol
_atom_site_fract_x
_atom_site_fract_y
_atom_site_fract_z
_atom_site_occupancy
La1 La 0.000 0.000 0.000 1
La2 La 0.000 0.000 0.497 1
La3 La 0.000 0.500 0.248 1
La4 La 0.000 0.500 0.749 1
Al1 Al 0.000 0.000 0.186 1
Al2 Al 0.000 0.000 0.304 1
Al3 Al 0.000 0.000 0.792 1
Al4 Al 0.000 0.500 0.053 1
Al5 Al 0.000 0.500 0.543 1
Al6 Al 0.000 0.500 0.935 1
Al7 Al 0.230 0.241 0.624 1
Al8 Al 0.242 0.273 0.374 1
Ni1 Ni 0.000 0.000 0.682 1
Ni2 Ni 0.000 0.500 0.433 1
```

Principal peaks in the range 5° ≤ 2θ ≤ 70°, by angle:
| d/Å | 2θ/deg | intensity |
| --- | --- | --- |
| 4.024 | 22.09 | 53 |
| 3.070 | 29.09 | 47 |
| 2.760 | 32.44 | 93 |
| 2.664 | 33.64 | 100 |
| 2.171 | 41.61 | 49 |
| 1.706 | 53.72 | 44 |

Record 3
Calculated X-ray diffraction stick pattern of LaAlNi for Cu Kα (λ = 1.5418 Å), from the GGA-PBE geometry in the Materials Project.
Peak positions follow from Bragg's law for the DFT cell and can differ from measured ones.

Structural model:
```
data_LaAlNi
_chemical_formula_sum 'La8 Al8 Ni8'
_cell_length_a 7.171
_cell_length_b 4.165
_cell_length_c 16.008
_cell_angle_alpha 90.00
_cell_angle_beta 90.00
_cell_angle_gamma 90.00
_space_group_name_H-M_alt 'P n m a'
_space_group_IT_number 62
loop_
_space_group_symop_operation_xyz
'x,y,z'
'-x,-y,-z'
'-x+1/2,-y,z+1/2'
'x+1/2,y,-z+1/2'
'x+1/2,-y+1/2,-z+1/2'
'-x+1/2,y+1/2,z+1/2'
'-x,y+1/2,-z'
'x,-y+1/2,z'
loop_
_atom_site_label
_atom_site_type_symbol
_atom_site_fract_x
_atom_site_fract_y
_atom_site_fract_z
_atom_site_occupancy
La1 La 0.013 0.250 0.222 1
La2 La 0.147 0.250 0.439 1
Al1 Al 0.008 0.250 0.940 1
Al2 Al 0.169 0.250 0.645 1
Ni1 Ni 0.205 0.250 0.071 1
Ni2 Ni 0.227 0.750 0.318 1
```

Principal peaks in the range 5° ≤ 2θ ≤ 70°, by angle:
| d/Å | 2θ/deg | intensity |
| --- | --- | --- |
| 4.030 | 22.05 | 34 |
| 2.717 | 32.96 | 32 |
| 2.678 | 33.46 | 100 |
| 2.538 | 35.36 | 65 |
| 2.421 | 37.13 | 70 |
| 2.082 | 43.46 | 41 |

Record 4
Calculated X-ray diffraction stick pattern of LaAlNi4 for Cu Kα (λ = 1.5418 Å), from the GGA-PBE geometry in the Materials Project.
Peak positions follow from Bragg's law for the DFT cell and can differ from measured ones.

Structural model:
```
data_LaAlNi4
_chemical_formula_sum 'La2 Al2 Ni8'
_cell_length_a 5.168
_cell_length_b 8.509
_cell_length_c 4.048
_cell_angle_alpha 90.00
_cell_angle_beta 90.00
_cell_angle_gamma 90.00
_space_group_name_H-M_alt 'C m m m'
_space_group_IT_number 65
_space_group_name_Hall '-C 2 2'
loop_
_atom_site_label
_atom_site_type_symbol
_atom_site_fract_x
_atom_site_fract_y
_atom_site_fract_z
_atom_site_occupancy
La1 La 0.000 0.000 0.000 1
Al1 Al 0.000 0.500 0.500 1
Ni1 Ni 0.000 0.333 0.000 1
Ni2 Ni 0.250 0.250 0.500 1
```

Principal peaks in the range 5° ≤ 2θ ≤ 70°, by angle:
| d/Å | 2θ/deg | intensity |
| --- | --- | --- |
| 2.933 | 30.48 | 44 |
| 2.486 | 36.13 | 54 |
| 2.208 | 40.86 | 34 |
| 2.178 | 41.46 | 86 |
| 2.119 | 42.68 | 100 |
| 2.024 | 44.78 | 45 |

Record 5
Calculated X-ray diffraction stick pattern of La6Al3Ni4SnRu for Cu Kα (λ = 1.5418 Å), from the GGA-PBE geometry in the Materials Project.
Peak positions follow from Bragg's law for the DFT cell and can differ from measured ones.

Structural model:
```
data_La6Al3Ni4SnRu
_chemical_formula_sum 'La6 Al3 Ni4 Sn1 Ru1'
_cell_length_a 9.5914
_cell_length_b 9.5914
_cell_length_c 4.2740
_cell_angle_alpha 90.00
_cell_angle_beta 90.00
_cell_angle_gamma 120.00
_space_group_name_H-M_alt 'P -6 m 2'
_space_group_IT_number 187
_space_group_name_Hall 'P -6 2'
loop_
_atom_site_label
_atom_site_type_symbol
_atom_site_fract_x
_atom_site_fract_y
_atom_site_fract_z
_atom_site_occupancy
La1 La 0.0145 0.5073 0.0000 1
La2 La 0.1264 0.2527 0.5000 1
Al1 Al 0.4752 0.2376 0.5000 1
Ni1 Ni 0.3119 0.1559 0.0000 1
Ni2 Ni 0.6667 0.3333 0.0000 1
Sn1 Sn 0.3333 0.6667 0.5000 1
Ru1 Ru 0.0000 0.0000 0.0000 1
```

Principal peaks in the range 5° ≤ 2θ ≤ 70°, by angle:
| d/Å | 2θ/deg | intensity |
| --- | --- | --- |
| 3.800 | 23.41 | 22 |
| 2.979 | 30.00 | 100 |
| 2.530 | 35.48 | 70 |
| 2.398 | 37.51 | 62 |
| 2.137 | 42.29 | 28 |
| 1.595 | 57.79 | 35 |

Record 6
Calculated X-ray diffraction stick pattern of La3AlNiS7 for Cu Kα (λ = 1.5418 Å), from the GGA-PBE geometry in the Materials Project.
Peak positions follow from Bragg's law for the DFT cell and can differ from measured ones.

Structural model:
```
data_La3AlNiS7
_chemical_formula_sum 'La6 Al2 Ni2 S14'
_cell_length_a 10.2614
_cell_length_b 10.2614
_cell_length_c 5.8949
_cell_angle_alpha 90.00
_cell_angle_beta 90.00
_cell_angle_gamma 120.00
_space_group_name_H-M_alt 'P 63'
_space_group_IT_number 173
loop_
_space_group_symop_operation_xyz
'x,y,z'
'x-y,x,z+1/2'
'-y,x-y,z'
'-x,-y,z+1/2'
'-x+y,-x,z'
'y,-x+y,z+1/2'
loop_
_atom_site_label
_atom_site_type_symbol
_atom_site_fract_x
_atom_site_fract_y
_atom_site_fract_z
_atom_site_occupancy
La1 La 0.1291 0.3683 0.0000 1
Al1 Al 0.3333 0.6667 0.4179 1
Ni1 Ni 0.0000 0.0000 0.2607 1
S1 S 0.0766 0.2203 0.5101 1
S2 S 0.1030 0.5890 0.2715 1
S3 S 0.3333 0.6667 0.7937 1
```

Principal peaks in the range 5° ≤ 2θ ≤ 70°, by angle:
| d/Å | 2θ/deg | intensity |
| --- | --- | --- |
| 4.912 | 18.06 | 40 |
| 3.870 | 22.98 | 48 |
| 3.548 | 25.10 | 100 |
| 3.359 | 26.54 | 46 |
| 2.456 | 36.59 | 46 |
| 2.274 | 39.63 | 64 |